No. 1
Diffraction record for AlAg2. The XRD peak list is calculated, not measured: it uses a structure optimized by DFT (GGA-PBE) and CuKα.

Principal peaks in the range 2θ from 10° to 90°, in order of falling intensity:
2theta, I_rel
38.20, 100
43.68, 17
43.51, 17
22.55, 16
45.99, 14
76.32, 12

Atomic structure:
```
AlAg2
1.0
4.145 0.000 0.000
0.000 12.481 0.000
0.000 0.000 3.947
Al Ag
4 8
direct
0.000 0.166 0.000
0.000 0.834 0.000
0.500 0.334 0.000
0.500 0.666 0.000
0.000 0.000 0.500
0.000 0.328 0.500
0.000 0.500 0.000
0.000 0.672 0.500
0.500 0.000 0.000
0.500 0.172 0.500
0.500 0.500 0.500
0.500 0.828 0.500
```

No. 2
Diffraction record for AlAg7. The XRD peak list is calculated, not measured: it uses a structure optimized by DFT (GGA-PBE) and CuKα.

Principal peaks in the range 2θ from 10° to 90°, in order of falling intensity:
2theta, I_rel
37.76, 100
43.88, 48
76.57, 34
63.79, 30
80.65, 10
22.21, 4

Atomic structure:
```
AlAg7
1.0
4.126 0.000 0.000
0.000 4.126 0.000
0.000 0.000 16.517
Al Ag
2 14
direct
0.000 0.000 0.000
0.500 0.500 0.500
0.000 0.000 0.251
0.000 0.000 0.500
0.000 0.000 0.749
0.000 0.500 0.122
0.000 0.500 0.378
0.000 0.500 0.622
0.000 0.500 0.878
0.500 0.000 0.122
0.500 0.000 0.378
0.500 0.000 0.622
0.500 0.000 0.878
0.500 0.500 0.000
0.500 0.500 0.249
0.500 0.500 0.751
```

No. 3
Diffraction record for Al5Ag3. The XRD peak list is calculated, not measured: it uses a structure optimized by DFT (GGA-PBE) and CuKα.

Principal peaks in the range 2θ from 10° to 90°, in order of falling intensity:
2theta, I_rel
38.34, 100
43.91, 34
76.99, 24
31.19, 20
65.36, 18
35.16, 16

Atomic structure:
```
Al5Ag3
1.0
2.916 0.000 0.000
0.000 2.916 0.000
0.000 0.000 15.833
Al Ag
5 3
direct
0.000 0.000 0.000
0.000 0.000 0.244
0.500 0.500 0.121
0.500 0.500 0.627
0.500 0.500 0.877
0.000 0.000 0.506
0.000 0.000 0.751
0.500 0.500 0.366
```

No. 4
Diffraction record for Al5Ag3. The XRD peak list is calculated, not measured: it uses a structure optimized by DFT (GGA-PBE) and CuKα.

Principal peaks in the range 2θ from 10° to 90°, in order of falling intensity:
2theta, I_rel
37.82, 100
38.71, 93
20.55, 92
44.58, 62
64.65, 43
29.90, 38

Atomic structure:
```
Al5Ag3
1.0
5.655 0.000 0.000
0.000 8.182 0.000
-2.825 0.000 5.849
Al Ag
10 6
direct
0.000 0.000 0.000
0.124 0.750 0.744
0.250 0.000 0.500
0.250 0.500 0.500
0.376 0.250 0.256
0.500 0.500 0.000
0.624 0.250 0.744
0.750 0.000 0.500
0.750 0.500 0.500
0.876 0.750 0.256
0.000 0.499 0.000
0.127 0.250 0.749
0.373 0.750 0.251
0.500 0.999 0.000
0.627 0.750 0.749
0.873 0.250 0.251
```

No. 5
Diffraction record for Al7Ag5. The XRD peak list is calculated, not measured: it uses a structure optimized by DFT (GGA-PBE) and CuKα.

Principal peaks in the range 2θ from 10° to 90°, in order of falling intensity:
2theta, I_rel
37.04, 100
39.54, 79
10.54, 68
43.69, 59
65.43, 34
25.00, 29

Atomic structure:
```
Al7Ag5
1.0
6.168 0.000 0.000
0.000 3.934 0.000
-3.073 0.000 8.390
Al Ag
7 5
direct
0.000 0.000 0.000
0.003 0.500 0.508
0.169 0.000 0.334
0.331 0.500 0.176
0.502 0.000 0.998
0.506 0.500 0.508
0.848 0.500 0.176
0.178 0.500 0.850
0.330 0.000 0.658
0.660 0.000 0.321
0.675 0.500 0.849
0.833 0.000 0.664
```

No. 6
Diffraction record for Al5Ag3. The XRD peak list is calculated, not measured: it uses a structure optimized by DFT (GGA-PBE) and CuKα.

Principal peaks in the range 2θ from 10° to 90°, in order of falling intensity:
2theta, I_rel
38.14, 100
44.48, 63
38.65, 31
14.26, 28
77.66, 23
64.37, 20

Atomic structure:
```
Al5Ag3
1.0
1.447 0.836 18.639
-1.447 0.836 18.639
0.000 -1.671 18.639
Al Ag
5 3
direct
0.000 0.000 0.000
0.124 0.124 0.124
0.500 0.500 0.500
0.749 0.749 0.749
0.875 0.875 0.875
0.249 0.249 0.249
0.375 0.375 0.375
0.626 0.626 0.626
```

No. 7
Diffraction record for Al5Ag6. The XRD peak list is calculated, not measured: it uses a structure optimized by DFT (GGA-PBE) and CuKα.

Principal peaks in the range 2θ from 10° to 90°, in order of falling intensity:
2theta, I_rel
37.22, 100
36.81, 99
39.43, 84
39.79, 81
42.80, 66
42.67, 62

Atomic structure:
```
Al5Ag6
1.0
4.935 0.000 0.000
-0.478 4.940 0.000
-0.988 -1.297 7.697
Al Ag
5 6
direct
0.000 0.000 0.000
0.183 0.386 0.739
0.358 0.722 0.455
0.642 0.278 0.545
0.817 0.614 0.261
0.105 0.181 0.378
0.270 0.527 0.098
0.440 0.931 0.813
0.560 0.069 0.187
0.730 0.473 0.902
0.895 0.819 0.622
```

No. 8
Diffraction record for Al7Ag5. The XRD peak list is calculated, not measured: it uses a structure optimized by DFT (GGA-PBE) and CuKα.

Principal peaks in the range 2θ from 10° to 90°, in order of falling intensity:
2theta, I_rel
37.30, 100
44.45, 90
39.18, 87
21.72, 75
27.79, 39
64.67, 37

Atomic structure:
```
Al7Ag5
1.0
2.784 -4.078 0.000
2.784 4.078 0.000
0.000 0.000 8.968
Al Ag
7 5
direct
0.000 0.000 0.000
0.000 0.500 0.500
0.000 0.500 0.831
0.500 0.000 0.169
0.500 0.000 0.500
0.500 0.500 0.337
0.500 0.500 0.663
0.000 0.000 0.335
0.000 0.000 0.665
0.000 0.500 0.168
0.500 0.000 0.832
0.500 0.500 0.000
```

No. 9
Diffraction record for AlAg3. The XRD peak list is calculated, not measured: it uses a structure optimized by DFT (GGA-PBE) and CuKα.

Principal peaks in the range 2θ from 10° to 90°, in order of falling intensity:
2theta, I_rel
40.38, 100
35.07, 29
39.34, 22
76.79, 17
62.92, 17
53.72, 15

Atomic structure:
```
AlAg3
1.0
2.954 0.000 0.000
-1.477 2.559 0.000
0.000 0.000 9.160
Al Ag
1 3
direct
0.000 0.000 0.000
0.000 0.000 0.500
0.333 0.667 0.236
0.333 0.667 0.764
```

No. 10
Diffraction record for Al7Ag4. The XRD peak list is calculated, not measured: it uses a structure optimized by DFT (GGA-PBE) and CuKα.

Principal peaks in the range 2θ from 10° to 90°, in order of falling intensity:
2theta, I_rel
37.42, 100
38.31, 83
38.16, 82
38.99, 78
11.90, 63
44.02, 54

Atomic structure:
```
Al7Ag4
1.0
4.968 0.000 0.000
0.824 5.053 0.000
0.777 -0.108 7.438
Al Ag
7 4
direct
0.000 0.000 0.000
0.083 0.844 0.637
0.369 0.292 0.545
0.457 0.095 0.182
0.545 0.926 0.824
0.732 0.552 0.093
0.824 0.380 0.731
0.192 0.648 0.271
0.278 0.459 0.903
0.631 0.752 0.469
0.909 0.199 0.364
```

No. 11
Diffraction record for Al5Ag3. The XRD peak list is calculated, not measured: it uses a structure optimized by DFT (GGA-PBE) and CuKα.

Principal peaks in the range 2θ from 10° to 90°, in order of falling intensity:
2theta, I_rel
38.17, 100
24.44, 53
44.69, 32
77.99, 23
64.29, 20
43.71, 17

Atomic structure:
```
Al5Ag3
1.0
4.056 0.000 0.000
0.000 4.056 0.000
0.000 0.000 8.283
Al Ag
5 3
direct
0.000 0.000 0.000
0.000 0.000 0.500
0.000 0.500 0.252
0.500 0.000 0.748
0.500 0.500 0.000
0.000 0.500 0.758
0.500 0.000 0.242
0.500 0.500 0.500
```

No. 12
Diffraction record for Al6Ag5. The XRD peak list is calculated, not measured: it uses a structure optimized by DFT (GGA-PBE) and CuKα.

Principal peaks in the range 2θ from 10° to 90°, in order of falling intensity:
2theta, I_rel
37.50, 100
43.95, 64
39.03, 44
38.91, 44
45.43, 27
18.39, 26

Atomic structure:
```
Al6Ag5
1.0
9.263 -1.500 0.000
9.263 1.500 0.000
-1.752 0.000 6.720
Al Ag
6 5
direct
0.000 0.000 0.000
0.180 0.180 0.470
0.269 0.269 0.182
0.362 0.362 0.904
0.449 0.449 0.635
0.544 0.544 0.366
0.082 0.082 0.717
0.634 0.634 0.110
0.728 0.728 0.830
0.814 0.814 0.537
0.909 0.909 0.262
```

No. 13
Diffraction record for Al7Ag5. The XRD peak list is calculated, not measured: it uses a structure optimized by DFT (GGA-PBE) and CuKα.

Principal peaks in the range 2θ from 10° to 90°, in order of falling intensity:
2theta, I_rel
38.19, 100
38.29, 99
44.30, 66
14.98, 62
10.92, 46
64.79, 37

Atomic structure:
```
Al7Ag5
1.0
2.897 0.000 0.000
0.000 8.657 0.000
0.000 0.000 8.102
Al Ag
7 5
direct
0.000 0.000 0.000
0.000 0.000 0.498
0.000 0.335 0.017
0.000 0.665 0.017
0.500 0.169 0.754
0.500 0.500 0.271
0.500 0.831 0.754
0.000 0.331 0.514
0.000 0.669 0.514
0.500 0.167 0.248
0.500 0.500 0.783
0.500 0.833 0.248
```

No. 14
Diffraction record for AlAg5. The XRD peak list is calculated, not measured: it uses a structure optimized by DFT (GGA-PBE) and CuKα.

Principal peaks in the range 2θ from 10° to 90°, in order of falling intensity:
2theta, I_rel
37.50, 100
43.88, 63
38.02, 48
38.28, 47
44.13, 31
63.80, 20

Atomic structure:
```
AlAg5
1.0
4.999 0.000 0.000
0.000 8.866 0.000
-1.708 0.000 4.733
Al Ag
2 10
direct
0.001 0.250 0.251
0.999 0.750 0.749
0.000 0.084 0.750
0.000 0.416 0.750
0.000 0.584 0.250
0.000 0.916 0.250
0.499 0.750 0.249
0.500 0.088 0.250
0.500 0.412 0.250
0.500 0.588 0.750
0.500 0.912 0.750
0.501 0.250 0.751
```